Simulated powder XRD pattern of Fe3P2H8O8 for Cu Ka, from a crystal structure in the Materials Project, relaxed with PBE+U.
Intensities are scaled so that the largest is 100.

```
data_Fe3P2H8O8
_chemical_formula_sum 'Fe6 P4 H16 O16'
_cell_length_a 10.143
_cell_length_b 12.965
_cell_length_c 4.896
_cell_angle_alpha 90.00
_cell_angle_beta 105.60
_cell_angle_gamma 90.00
_symmetry_space_group_name_H-M 'C 1 2/m 1'
_symmetry_Int_Tables_number 12
_symmetry_space_group_name_Hall '-C 2y'
loop_
_atom_site_label
_atom_site_type_symbol
_atom_site_fract_x
_atom_site_fract_y
_atom_site_fract_z
Fe1 Fe 0.000 0.000 0.000
Fe2 Fe 0.000 0.393 0.000
P1 P 0.182 0.500 0.657
H1 H 0.031 0.235 0.067
H2 H 0.122 0.029 0.751
O1 O 0.117 0.500 0.331
O2 O 0.145 0.400 0.797
O3 O 0.158 0.000 0.304
```

Peak list (6 most intense, 10 to 80 degrees two-theta, in order of rising 2θ)
11.3 deg, 7.802 Å, I 47
13.7 deg, 6.482 Å, I 100
18.8 deg, 4.715 Å, I 15
22.4 deg, 3.961 Å, I 20
27.8 deg, 3.205 Å, I 16
29.7 deg, 3.012 Å, I 18

---

Simulated powder XRD pattern of FePH2O5 for Cu Ka, from a crystal structure in the Materials Project, relaxed with PBE+U.
Intensities are scaled so that the largest is 100.

```
data_FePH2O5
_chemical_formula_sum 'Fe4 P4 H8 O20'
_cell_length_a 6.762
_cell_length_b 7.859
_cell_length_c 7.549
_cell_angle_alpha 90.00
_cell_angle_beta 113.96
_cell_angle_gamma 90.00
_symmetry_space_group_name_H-M 'C 1 2/c 1'
_symmetry_Int_Tables_number 15
_symmetry_space_group_name_Hall '-C 2yc'
loop_
_atom_site_label
_atom_site_type_symbol
_atom_site_fract_x
_atom_site_fract_y
_atom_site_fract_z
Fe1 Fe 0.250 0.250 0.000
P1 P 0.000 0.082 0.250
H1 H 0.093 0.458 0.704
O1 O 0.000 0.384 0.750
O2 O 0.036 0.194 0.099
O3 O 0.205 0.032 0.849
```

Peak list (6 most intense, 10 to 80 degrees two-theta, in order of rising 2θ)
18.3 deg, 4.858 Å, I 33
18.7 deg, 4.749 Å, I 64
25.6 deg, 3.483 Å, I 100
26.1 deg, 3.414 Å, I 28
30.0 deg, 2.980 Å, I 34
34.6 deg, 2.592 Å, I 53

---

Simulated powder XRD pattern of Fe3P2H8O12 for Cu Ka, from a crystal structure in the Materials Project, relaxed with PBE+U.
Intensities are scaled so that the largest is 100.

```
data_Fe3P2H8O12
_chemical_formula_sum 'Fe6 P4 H16 O24'
_cell_length_a 9.394
_cell_length_b 4.723
_cell_length_c 10.684
_cell_angle_alpha 90.00
_cell_angle_beta 100.32
_cell_angle_gamma 90.00
_symmetry_space_group_name_H-M 'P 1 21/c 1'
_symmetry_Int_Tables_number 14
_symmetry_space_group_name_Hall '-P 2ybc'
loop_
_atom_site_label
_atom_site_type_symbol
_atom_site_fract_x
_atom_site_fract_y
_atom_site_fract_z
Fe1 Fe 0.000 0.000 0.000
Fe2 Fe 0.329 0.070 0.172
P1 P 0.237 0.531 0.952
H1 H 0.061 0.070 0.646
H2 H 0.091 0.210 0.264
H3 H 0.391 0.562 0.330
H4 H 0.445 0.215 0.907
O1 O 0.098 0.152 0.407
O2 O 0.102 0.240 0.171
O3 O 0.199 0.719 0.535
O4 O 0.290 0.647 0.832
O5 O 0.358 0.152 0.531
O6 O 0.455 0.110 0.828
```

Peak list (6 most intense, 10 to 80 degrees two-theta, in order of rising 2θ)
17.9 deg, 4.967 Å, I 81
22.1 deg, 4.019 Å, I 100
23.4 deg, 3.799 Å, I 46
29.4 deg, 3.042 Å, I 64
31.9 deg, 2.808 Å, I 97
34.8 deg, 2.576 Å, I 74

---

Simulated powder XRD pattern of FeP2H2O9 for Cu Ka, from a crystal structure in the Materials Project, relaxed with PBE+U.
Intensities are scaled so that the largest is 100.

```
data_FeP2H2O9
_chemical_formula_sum 'Fe4 P8 H8 O36'
_cell_length_a 5.258
_cell_length_b 8.733
_cell_length_c 14.673
_cell_angle_alpha 90.00
_cell_angle_beta 94.99
_cell_angle_gamma 90.00
_symmetry_space_group_name_H-M 'P 1 21/c 1'
_symmetry_Int_Tables_number 14
_symmetry_space_group_name_Hall '-P 2ybc'
loop_
_atom_site_label
_atom_site_type_symbol
_atom_site_fract_x
_atom_site_fract_y
_atom_site_fract_z
Fe1 Fe 0.242 0.036 0.351
P1 P 0.227 0.164 0.561
P2 P 0.279 0.741 0.688
H1 H 0.186 0.736 0.038
H2 H 0.322 0.167 0.169
O1 O 0.049 0.621 0.920
O2 O 0.074 0.641 0.207
O3 O 0.227 0.005 0.889
O4 O 0.236 0.593 0.740
O5 O 0.241 0.181 0.457
O6 O 0.267 0.692 0.584
O7 O 0.287 0.170 0.101
O8 O 0.422 0.049 0.601
O9 O 0.451 0.194 0.283
```

Peak list (6 most intense, 10 to 80 degrees two-theta, in order of rising 2θ)
11.8 deg, 7.497 Å, I 100
21.1 deg, 4.207 Å, I 23
26.4 deg, 3.371 Å, I 30
28.7 deg, 3.115 Å, I 55
29.9 deg, 2.986 Å, I 24
34.2 deg, 2.619 Å, I 25